# Ta2MoRu
Simulated X-ray diffraction stick pattern, Cu Ka. Input: a PBE-relaxed structure.

Top 7 peaks for 2θ from 15° to 90°, low angle first:
2θ 27.9, d = 3.202 Å, rel. 10
2θ 39.8, d = 2.264 Å, rel. 100
2θ 49.3, d = 1.849 Å, rel. 3
2θ 57.6, d = 1.601 Å, rel. 17
2θ 65.1, d = 1.432 Å, rel. 4
2θ 72.3, d = 1.307 Å, rel. 34
2θ 85.8, d = 1.132 Å, rel. 11

Lattice parameters (Å, degrees): 4.528 4.528 4.528 60.00 60.00 60.00
Sites, in units of the cell vectors:
Ta: 0.250 0.250 0.250
Ta: 0.750 0.750 0.750
Mo: 0.000 0.000 0.000
Ru: 0.500 0.500 0.500



# Te4Mo2Ru
Simulated X-ray diffraction stick pattern, Cu Ka. Input: a PBE-relaxed structure.

Top 12 peaks for 2θ from 15° to 90°, low angle first:
2θ 24.9, d = 3.573 Å, rel. 47
2θ 28.5, d = 3.134 Å, rel. 72
2θ 28.7, d = 3.106 Å, rel. 93
2θ 29.7, d = 3.004 Å, rel. 100
2θ 29.9, d = 2.984 Å, rel. 49
2θ 36.7, d = 2.449 Å, rel. 45
2θ 41.5, d = 2.174 Å, rel. 88
2θ 41.7, d = 2.166 Å, rel. 68
2θ 42.2, d = 2.142 Å, rel. 59
2θ 46.6, d = 1.951 Å, rel. 88
2θ 46.6, d = 1.948 Å, rel. 50
2θ 47.0, d = 1.934 Å, rel. 41

Lattice parameters (Å, degrees): 7.119 7.160 7.172 92.62 92.90 93.86
Sites, in units of the cell vectors:
Te: 0.000 0.000 0.000
Te: 0.038 0.402 0.674
Te: 0.135 0.884 0.511
Te: 0.382 0.359 0.262
Te: 0.464 0.831 0.096
Te: 0.535 0.236 0.764
Te: 0.633 0.737 0.624
Te: 0.879 0.505 0.164
Mo: 0.013 0.205 0.338
Mo: 0.505 0.035 0.430
Mo: 0.675 0.169 0.134
Mo: 0.802 0.871 0.297
Ru: 0.711 0.379 0.475
Ru: 0.842 0.069 0.642



# Te16Mo9Ru3
Simulated X-ray diffraction stick pattern, Cu Ka. Input: a PBE-relaxed structure.

Top 12 peaks for 2θ from 15° to 90°, low angle first:
2θ 28.7, d = 3.115 Å, rel. 61
2θ 28.8, d = 3.104 Å, rel. 61
2θ 28.9, d = 3.092 Å, rel. 60
2θ 29.7, d = 3.013 Å, rel. 51
2θ 29.8, d = 2.993 Å, rel. 100
2θ 30.4, d = 2.939 Å, rel. 51
2θ 36.9, d = 2.436 Å, rel. 75
2θ 40.0, d = 2.252 Å, rel. 49
2θ 41.6, d = 2.170 Å, rel. 71
2θ 41.8, d = 2.161 Å, rel. 87
2θ 42.2, d = 2.141 Å, rel. 62
2θ 46.7, d = 1.943 Å, rel. 86

Lattice parameters (Å, degrees): 7.148 9.830 10.347 90.49 90.24 95.26
Sites, in units of the cell vectors:
Te: 0.000 0.000 0.000
Te: 0.000 0.499 0.500
Te: 0.112 0.175 0.687
Te: 0.114 0.676 0.188
Te: 0.354 0.825 0.571
Te: 0.356 0.324 0.076
Te: 0.474 0.498 0.746
Te: 0.475 0.001 0.247
Te: 0.520 0.533 0.372
Te: 0.521 0.042 0.870
Te: 0.617 0.194 0.547
Te: 0.620 0.692 0.054
Te: 0.857 0.305 0.195
Te: 0.861 0.804 0.694
Te: 0.941 0.954 0.373
Te: 0.943 0.454 0.872
Mo: 0.150 0.143 0.227
Mo: 0.153 0.643 0.725
Mo: 0.280 0.078 0.458
Mo: 0.280 0.579 0.960
Mo: 0.320 0.351 0.526
Mo: 0.320 0.852 0.024
Mo: 0.495 0.771 0.812
Mo: 0.984 0.226 0.441
Mo: 0.984 0.728 0.940
Ru: 0.188 0.420 0.288
Ru: 0.189 0.921 0.788
Ru: 0.497 0.270 0.307



# V2MoRu
Simulated X-ray diffraction stick pattern, Cu Ka. Input: a PBE-relaxed structure.

Top 6 peaks for 2θ from 15° to 90°, low angle first:
2θ 29.4, d = 3.039 Å, rel. 15
2θ 42.0, d = 2.149 Å, rel. 100
2θ 52.1, d = 1.755 Å, rel. 4
2θ 61.0, d = 1.520 Å, rel. 16
2θ 69.1, d = 1.359 Å, rel. 6
2θ 76.8, d = 1.241 Å, rel. 31

Lattice parameters (Å, degrees): 4.298 4.298 4.298 60.00 60.00 60.00
Sites, in units of the cell vectors:
V: 0.250 0.250 0.250
V: 0.750 0.750 0.750
Mo: 0.000 0.000 0.000
Ru: 0.500 0.500 0.500



# Mo3S4
Simulated X-ray diffraction stick pattern, Cu Ka. Input: a PBE-relaxed structure.

Top 12 peaks for 2θ from 15° to 90°, low angle first:
2θ 15.0, d = 5.889 Å, rel. 54
2θ 16.8, d = 5.270 Å, rel. 100
2θ 26.2, d = 3.401 Å, rel. 40
2θ 29.3, d = 3.043 Å, rel. 41
2θ 30.4, d = 2.944 Å, rel. 33
2θ 31.7, d = 2.825 Å, rel. 87
2θ 34.8, d = 2.578 Å, rel. 65
2θ 41.3, d = 2.188 Å, rel. 41
2θ 42.0, d = 2.149 Å, rel. 38
2θ 43.7, d = 2.070 Å, rel. 78
2θ 44.2, d = 2.051 Å, rel. 40
2θ 45.1, d = 2.009 Å, rel. 91

Lattice parameters (Å, degrees): 6.379 6.659 6.875 104.17 117.48 103.87
Sites, in units of the cell vectors:
Mo: 0.023 0.013 0.309
Mo: 0.285 0.501 0.003
Mo: 0.451 0.983 0.680
Mo: 0.549 0.017 0.320
Mo: 0.715 0.499 0.997
Mo: 0.977 0.987 0.691
S: 0.015 0.705 0.435
S: 0.054 0.768 0.973
S: 0.445 0.212 0.031
S: 0.469 0.286 0.553
S: 0.531 0.714 0.447
S: 0.555 0.788 0.969
S: 0.946 0.232 0.027
S: 0.985 0.295 0.565



# Mo3S4
Simulated X-ray diffraction stick pattern, Cu Ka. Input: a PBE-relaxed structure.

Top 12 peaks for 2θ from 15° to 90°, low angle first:
2θ 17.3, d = 5.119 Å, rel. 100
2θ 19.8, d = 4.478 Å, rel. 28
2θ 21.7, d = 4.102 Å, rel. 22
2θ 23.7, d = 3.761 Å, rel. 35
2θ 27.2, d = 3.275 Å, rel. 29
2θ 30.7, d = 2.911 Å, rel. 24
2θ 31.4, d = 2.851 Å, rel. 27
2θ 31.9, d = 2.807 Å, rel. 37
2θ 34.1, d = 2.630 Å, rel. 27
2θ 44.2, d = 2.051 Å, rel. 22
2θ 47.3, d = 1.924 Å, rel. 28
2θ 48.6, d = 1.875 Å, rel. 28

Lattice parameters (Å, degrees): 3.854 8.977 11.991 86.14 84.29 89.73
Sites, in units of the cell vectors:
Mo: 0.013 0.124 0.468
Mo: 0.177 0.697 0.185
Mo: 0.252 0.381 0.929
Mo: 0.748 0.619 0.071
Mo: 0.823 0.303 0.815
Mo: 0.987 0.876 0.532
S: 0.069 0.765 0.366
S: 0.219 0.442 0.132
S: 0.357 0.820 0.020
S: 0.455 0.821 0.631
S: 0.545 0.179 0.369
S: 0.643 0.180 0.980
S: 0.781 0.558 0.868
S: 0.931 0.235 0.634